No. 1
NdCuSO: simulated XRD peak list (a wavelength of 1.5418 Å), based on a DFT-relaxed cell (GGA-PBE, the Materials Project).

Cell: 3.9421 3.9421 8.4595 Å, 90.00 90.00 90.00°
Space group P4/nmm (No. 129, origin choice 2)
Symmetry-distinct sites (fractional):
1 Nd 0.2500 0.2500 0.1457 [2 per cell]
2 Cu 0.2500 0.7500 0.5000 [2 per cell]
3 S 0.2500 0.2500 0.6655 [2 per cell]
4 O 0.2500 0.7500 0.0000 [2 per cell]

Principal peaks in the range 2θ = 10–90°, most intense first:
(1 0 2), 31.01 deg, I = 100.0
(1 0 1), 24.92 deg, I = 43.5
(1 1 1), 33.86 deg, I = 42.6
(2 0 0), 46.05 deg, I = 39.4
(1 1 2), 38.69 deg, I = 36.9
(1 1 4), 54.46 deg, I = 35.3

=====

No. 2
Nd2CuTe2S2O14: simulated XRD peak list (a wavelength of 1.5418 Å), based on a DFT-relaxed cell (GGA-PBE, the Materials Project).

Cell: 5.2822 8.1470 8.4025 Å, 61.98 74.24 85.60°
Space group P-1 (No. 2)
Symmetry-distinct sites (fractional):
1 Nd 0.0744 0.2498 0.0171 [2 per cell]
2 Cu 0.0000 0.0000 0.5000 [1 per cell]
3 Te 0.4886 0.7336 0.6492 [2 per cell]
4 S 0.2487 0.7456 0.2562 [2 per cell]
5 O 0.1326 0.7488 0.4344 [2 per cell]
6 O 0.1410 0.5870 0.2479 [2 per cell]
7 O 0.1771 0.9169 0.0975 [2 per cell]
8 O 0.2514 0.9271 0.6522 [2 per cell]
9 O 0.2607 0.5648 0.8837 [2 per cell]
10 O 0.2707 0.1854 0.2644 [2 per cell]
11 O 0.4608 0.2610 0.7778 [2 per cell]

Principal peaks in the range 2θ = 10–90°, most intense first:
(0 2 0), 24.80 deg, I = 100.0
(1 1 2), 24.19 deg, I = 75.7
(-1 2 1), 29.31 deg, I = 71.7
(0 1 1), 12.75 deg, I = 64.3
(1 0 -1), 24.07 deg, I = 61.0
(0 1 2), 21.97 deg, I = 46.1

=====

No. 3
NdCu2SeO2: simulated XRD peak list (a wavelength of 1.5418 Å), based on a DFT-relaxed cell (GGA-PBE, the Materials Project).

Cell: 3.8056 3.8056 12.1864 Å, 90.00 90.00 90.00°
Space group P4/mmm (No. 123)
Symmetry-distinct sites (fractional):
1 Nd 0.0000 0.0000 0.0000 [1 per cell]
2 Cu 0.0000 0.0000 0.3210 [2 per cell]
3 Se 0.0000 0.0000 0.5000 [1 per cell]
4 O 0.0000 0.0000 0.1769 [2 per cell]

Principal peaks in the range 2θ = 10–90°, most intense first:
(1 0 0), 23.38 deg, I = 100.0
(1 1 0), 33.30 deg, I = 39.8
(1 0 6), 50.97 deg, I = 20.8
(2 1 0), 53.87 deg, I = 19.0
(1 0 3), 32.23 deg, I = 15.2
(1 1 6), 56.79 deg, I = 14.8

=====

No. 4
Nd2CuSnO6: simulated XRD peak list (a wavelength of 1.5418 Å), based on a DFT-relaxed cell (GGA-PBE, the Materials Project).

Cell: 7.7937 7.7681 8.6168 Å, 90.00 92.77 90.00°
Space group P2_1/m (No. 11)
Symmetry-distinct sites (fractional):
1 Nd 0.1949 0.2500 0.2485 [2 per cell]
2 Nd 0.2272 0.2500 0.8108 [2 per cell]
3 Nd 0.2910 0.7500 0.2087 [2 per cell]
4 Nd 0.2915 0.7500 0.7714 [2 per cell]
5 Cu 0.0000 0.0000 0.0000 [2 per cell]
6 Cu 0.5000 0.0000 0.0000 [2 per cell]
7 Sn 0.0000 0.0000 0.5000 [2 per cell]
8 Sn 0.5000 0.0000 0.5000 [2 per cell]
9 O 0.0384 0.7500 0.0373 [2 per cell]
10 O 0.0612 0.5590 0.7286 [4 per cell]
11 O 0.0874 0.2500 0.5450 [2 per cell]
12 O 0.2464 0.5438 0.4130 [4 per cell]
13 O 0.2496 0.0420 0.0430 [4 per cell]
14 O 0.4354 0.0565 0.7238 [4 per cell]
15 O 0.4663 0.7500 0.9939 [2 per cell]
16 O 0.4755 0.2500 0.4050 [2 per cell]

Principal peaks in the range 2θ = 10–90°, most intense first:
(0 2 2), 31.02 deg, I = 100.0
(2 2 0), 32.57 deg, I = 82.5
(2 0 2), 31.73 deg, I = 43.8
(2 0 -2), 30.21 deg, I = 43.0
(0 0 4), 41.97 deg, I = 26.9
(0 4 0), 46.78 deg, I = 25.8

=====

No. 5
SrNd2Cu2O6: simulated XRD peak list (a wavelength of 1.5418 Å), based on a DFT-relaxed cell (GGA-PBE, the Materials Project).

Cell: 3.8433 3.8433 19.6431 Å, 90.00 90.00 90.00°
Space group I4/mmm (No. 139)
Symmetry-distinct sites (fractional):
1 Sr 0.0000 0.0000 0.0000 [2 per cell]
2 Nd 0.0000 0.0000 0.1771 [4 per cell]
3 Cu 0.0000 0.0000 0.4107 [4 per cell]
4 O 0.0000 0.0000 0.2935 [4 per cell]
5 O 0.0000 0.5000 0.0909 [8 per cell]

Principal peaks in the range 2θ = 10–90°, most intense first:
(1 0 5), 32.59 deg, I = 100.0
(1 1 0), 32.96 deg, I = 69.3
(2 0 0), 47.30 deg, I = 39.3
(2 1 5), 58.63 deg, I = 37.2
(1 0 3), 26.90 deg, I = 23.6
(1 1 6), 43.27 deg, I = 22.3

=====

No. 6
SrNd2Cu2O6: simulated XRD peak list (a wavelength of 1.5418 Å), based on a DFT-relaxed cell (GGA-PBE, the Materials Project).

Cell: 3.8588 3.8588 19.7459 Å, 90.00 90.00 90.00°
Space group I4mm (No. 107)
Symmetry-distinct sites (fractional):
1 Sr 0.0000 0.0000 0.0000 [2 per cell]
2 Nd 0.0000 0.0000 0.1794 [2 per cell]
3 Nd 0.0000 0.0000 0.3603 [2 per cell]
4 Cu 0.0000 0.0000 0.5890 [2 per cell]
5 Cu 0.0000 0.0000 0.7682 [2 per cell]
6 O 0.0000 0.0000 0.4728 [2 per cell]
7 O 0.0000 0.0000 0.8780 [2 per cell]
8 O 0.0000 0.5000 0.1036 [4 per cell]
9 O 0.0000 0.5000 0.2629 [4 per cell]

Principal peaks in the range 2θ = 10–90°, most intense first:
(1 0 5), 32.44 deg, I = 100.0
(1 1 0), 32.82 deg, I = 60.1
(2 1 5), 58.36 deg, I = 37.4
(2 0 0), 47.10 deg, I = 34.2
(1 0 7), 39.57 deg, I = 20.1
(1 1 6), 43.06 deg, I = 19.7

=====

No. 7
Sr2NdTaCu2O8: simulated XRD peak list (a wavelength of 1.5418 Å), based on a DFT-relaxed cell (GGA-PBE, the Materials Project).

Cell: 3.9538 3.9538 11.7481 Å, 90.00 90.00 90.00°
Space group P4/mmm (No. 123)
Symmetry-distinct sites (fractional):
1 Sr 0.0000 0.0000 0.1991 [2 per cell]
2 Nd 0.0000 0.0000 0.5000 [1 per cell]
3 Ta 0.5000 0.5000 0.0000 [1 per cell]
4 Cu 0.5000 0.5000 0.3570 [2 per cell]
5 O 0.0000 0.5000 0.0000 [2 per cell]
6 O 0.0000 0.5000 0.3687 [4 per cell]
7 O 0.5000 0.5000 0.1684 [2 per cell]

Principal peaks in the range 2θ = 10–90°, most intense first:
(1 0 3), 32.17 deg, I = 100.0
(1 1 0), 32.01 deg, I = 52.8
(2 1 3), 57.16 deg, I = 39.1
(2 0 0), 45.90 deg, I = 34.2
(1 0 1), 23.74 deg, I = 26.9
(3 1 0), 76.18 deg, I = 17.4

=====

No. 8
Sr2NdTaCu2O8: simulated XRD peak list (a wavelength of 1.5418 Å), based on a DFT-relaxed cell (GGA-PBE, the Materials Project).

Cell: 7.8134 7.8276 12.5403 Å, 90.00 108.10 90.00°
Space group C2/m (No. 12)
Symmetry-distinct sites (fractional):
1 Sr 0.1016 0.0000 0.2000 [4 per cell]
2 Sr 0.1036 0.5000 0.1991 [4 per cell]
3 Nd 0.2498 0.0000 0.5004 [4 per cell]
4 Ta 0.2500 0.2500 0.0000 [4 per cell]
5 Cu 0.0707 0.2499 0.6462 [8 per cell]
6 O 0.0000 0.3134 0.0000 [4 per cell]
7 O 0.0591 0.5000 0.6325 [4 per cell]
8 O 0.0686 0.0000 0.6284 [4 per cell]
9 O 0.1666 0.2397 0.8355 [8 per cell]
10 O 0.1877 0.2441 0.3696 [8 per cell]
11 O 0.1902 0.0000 0.0076 [4 per cell]

Principal peaks in the range 2θ = 10–90°, most intense first:
(2 0 -4), 32.12 deg, I = 100.0
(2 2 -1), 32.38 deg, I = 53.3
(4 2 -5), 57.59 deg, I = 40.1
(0 4 0), 46.45 deg, I = 31.7
(2 0 0), 23.95 deg, I = 25.9
(2 2 -7), 57.09 deg, I = 14.1

=====

No. 9
NdCuTeO: simulated XRD peak list (a wavelength of 1.5418 Å), based on a DFT-relaxed cell (GGA-PBE, the Materials Project).

Cell: 4.1229 4.1229 9.4076 Å, 90.00 90.00 90.00°
Space group P4/nmm (No. 129, origin choice 2)
Symmetry-distinct sites (fractional):
1 Nd 0.2500 0.2500 0.1233 [2 per cell]
2 Cu 0.2500 0.7500 0.5000 [2 per cell]
3 Te 0.2500 0.2500 0.6795 [2 per cell]
4 O 0.2500 0.7500 0.0000 [2 per cell]

Principal peaks in the range 2θ = 10–90°, most intense first:
(1 0 2), 28.79 deg, I = 100.0
(2 1 2), 53.37 deg, I = 35.6
(2 0 0), 43.92 deg, I = 34.0
(1 1 2), 36.25 deg, I = 24.4
(1 1 0), 30.67 deg, I = 24.1
(1 1 4), 49.81 deg, I = 24.0

=====

No. 10
NdCu3Pd2: simulated XRD peak list (a wavelength of 1.5418 Å), based on a DFT-relaxed cell (GGA-PBE, the Materials Project).

Cell: 5.0291 5.4495 7.2613 Å, 90.00 90.00 90.00°
Space group Imm2 (No. 44)
Symmetry-distinct sites (fractional):
1 Nd 0.0000 0.0000 0.0000 [2 per cell]
2 Cu 0.0000 0.5000 0.7504 [2 per cell]
3 Cu 0.2496 0.0000 0.6216 [4 per cell]
4 Pd 0.0000 0.2473 0.3745 [4 per cell]

Principal peaks in the range 2θ = 10–90°, most intense first:
(1 0 3), 41.43 deg, I = 100.0
(1 2 1), 39.61 deg, I = 70.8
(1 1 2), 34.63 deg, I = 34.1
(2 2 4), 73.07 deg, I = 26.2
(2 0 2), 43.79 deg, I = 25.1
(0 1 3), 40.79 deg, I = 20.4

=====

No. 11
NdCu4Pd: simulated XRD peak list (a wavelength of 1.5418 Å), based on a DFT-relaxed cell (GGA-PBE, the Materials Project).

Cell: 5.0321 5.0321 12.9735 Å, 90.00 90.00 120.00°
Space group R3m (No. 160, hexagonal axes)
Symmetry-distinct sites (fractional):
1 Nd 0.0000 0.0000 0.0000 [3 per cell]
2 Cu 0.0000 0.0000 0.2401 [3 per cell]
3 Cu 0.0011 0.5006 0.1292 [9 per cell]
4 Pd 0.0000 0.0000 0.6260 [3 per cell]

Principal peaks in the range 2θ = 10–90°, most intense first:
(1 1 3), 41.52 deg, I = 100.0
(0 1 5), 40.46 deg, I = 61.6
(1 1 0), 35.69 deg, I = 46.9
(2 0 2), 43.83 deg, I = 44.6
(0 2 1), 42.05 deg, I = 30.9
(1 2 5), 67.34 deg, I = 26.1

=====

No. 12
NdCuS2: simulated XRD peak list (a wavelength of 1.5418 Å), based on a DFT-relaxed cell (GGA-PBE, the Materials Project).

Cell: 6.5115 7.2036 6.8891 Å, 90.00 97.54 90.00°
Space group P2_1/c (No. 14)
Symmetry-distinct sites (fractional):
1 Nd 0.1909 0.0501 0.2998 [4 per cell]
2 Cu 0.4257 0.6639 0.4511 [4 per cell]
3 S 0.0848 0.7260 0.4987 [4 per cell]
4 S 0.4102 0.1143 0.7224 [4 per cell]

Principal peaks in the range 2θ = 10–90°, most intense first:
(1 1 1), 23.65 deg, I = 100.0
(2 1 -1), 31.61 deg, I = 71.6
(0 1 3), 41.64 deg, I = 44.2
(1 0 -2), 27.94 deg, I = 41.8
(0 2 2), 36.25 deg, I = 41.2
(1 1 2), 33.65 deg, I = 34.5